(1)
This entry pairs a crystal structure of Pu3Pd2Rh2 with its computed X-ray diffraction stick pattern. Radiation: Cu Kα, 1.54184 Å. Structure: a crystal structure in Alexandria, relaxed with PBE.

Most intense lines, 2θ = 5–70°, sorted by position:
| Position (°2θ) | I_rel |
| --- | --- |
| 26.1 | 47 |
| 30.2 | 4 |
| 33.9 | 100 |
| 37.3 | 7 |
| 40.4 | 81 |
| 46.1 | 6 |
| 48.7 | 28 |
| 51.3 | 16 |
| 53.7 | 9 |
| 56.1 | 20 |
| 60.7 | 13 |
| 69.3 | 32 |

Atomic structure:
```
data_Pu3Pd2Rh2
_chemical_formula_sum 'Pu6 Pd4 Rh4'
_cell_length_a 7.239
_cell_length_b 7.239
_cell_length_c 7.239
_cell_angle_alpha 109.47
_cell_angle_beta 109.47
_cell_angle_gamma 109.47
_space_group_name_H-M_alt 'P 1'
_space_group_IT_number 1
_space_group_name_Hall 'P 1'
loop_
_atom_site_label
_atom_site_fract_x
_atom_site_fract_y
_atom_site_fract_z
_atom_site_occupancy
Pu1 0.147 0.897 0.250 1
Pu2 0.250 0.147 0.897 1
Pu3 0.353 0.603 0.750 1
Pu4 0.603 0.750 0.353 1
Pu5 0.750 0.353 0.603 1
Pu6 0.897 0.250 0.147 1
Pd1 0.000 0.695 0.500 1
Pd2 0.500 0.000 0.695 1
Pd3 0.695 0.500 0.000 1
Pd4 0.805 0.805 0.805 1
Rh1 0.000 0.139 0.500 1
Rh2 0.139 0.500 0.000 1
Rh3 0.361 0.361 0.361 1
Rh4 0.500 0.000 0.139 1
```

---

(2)
This entry pairs a crystal structure of Pu4PdRh3 with its computed X-ray diffraction stick pattern. Radiation: Cu Kα, 1.54184 Å. Structure: a crystal structure in Alexandria, relaxed with PBE.

Most intense lines, 2θ = 5–70°, sorted by position:
| Position (°2θ) | I_rel |
| --- | --- |
| 25.7 | 8 |
| 25.9 | 17 |
| 36.8 | 100 |
| 37.0 | 49 |
| 45.6 | 8 |
| 52.8 | 9 |
| 53.4 | 18 |
| 59.7 | 4 |
| 60.1 | 4 |
| 60.3 | 4 |
| 66.2 | 18 |
| 66.6 | 36 |

Atomic structure:
```
data_Pu4PdRh3
_chemical_formula_sum 'Pu4 Pd1 Rh3'
_cell_length_a 4.856
_cell_length_b 4.856
_cell_length_c 6.939
_cell_angle_alpha 90.00
_cell_angle_beta 90.00
_cell_angle_gamma 90.00
_space_group_name_H-M_alt 'P 1'
_space_group_IT_number 1
_space_group_name_Hall 'P 1'
loop_
_atom_site_label
_atom_site_fract_x
_atom_site_fract_y
_atom_site_fract_z
_atom_site_occupancy
Pu1 0.000 0.500 0.245 1
Pu2 0.000 0.500 0.755 1
Pu3 0.500 0.000 0.245 1
Pu4 0.500 0.000 0.755 1
Pd1 0.000 0.000 0.500 1
Rh1 0.000 0.000 0.000 1
Rh2 0.500 0.500 0.000 1
Rh3 0.500 0.500 0.500 1
```

---

(3)
This entry pairs a crystal structure of PuPdRh with its computed X-ray diffraction stick pattern. Radiation: Cu Kα, 1.54184 Å. Structure: a crystal structure in Alexandria, relaxed with PBE.

Most intense lines, 2θ = 5–70°, sorted by position:
| Position (°2θ) | I_rel |
| --- | --- |
| 22.5 | 22 |
| 36.5 | 100 |
| 39.4 | 70 |
| 45.8 | 4 |
| 54.8 | 32 |
| 58.8 | 7 |
| 62.0 | 3 |
| 63.8 | 3 |
| 69.6 | 31 |

Atomic structure:
```
data_PuPdRh
_chemical_formula_sum 'Pu1 Pd1 Rh1'
_cell_length_a 4.572
_cell_length_b 4.572
_cell_length_c 3.139
_cell_angle_alpha 90.00
_cell_angle_beta 90.00
_cell_angle_gamma 120.00
_space_group_name_H-M_alt 'P 1'
_space_group_IT_number 1
_space_group_name_Hall 'P 1'
loop_
_atom_site_label
_atom_site_fract_x
_atom_site_fract_y
_atom_site_fract_z
_atom_site_occupancy
Pu1 0.000 0.000 0.000 1
Pd1 0.333 0.667 0.500 1
Rh1 0.667 0.333 0.500 1
```